# 1
Starting from a DFT-relaxed cell (GGA-PBE, OQMD), the powder XRD pattern of ThSiMo was calculated for Cu Kα, 1.54184 Å.
Lines closer than 0.1° are merged.

Most intense lines, 5 to 70 degrees two-theta, sorted by position:
| 2θ (°) | Rel. int. | hkl |
| --- | --- | --- |
| 23.7 | 32 | 1 1 1 |
| 27.4 | 89 | 2 0 0 |
| 39.2 | 100 | 2 2 0 |
| 46.3 | 18 | 3 1 1 |
| 48.5 | 26 | 2 2 2 |
| 56.6 | 17 | 4 0 0 |
| 62.2 | 8 | 3 3 1 |
| 64.0 | 34 | 4 2 0 |

Crystal structure
a = 6.504 Å, b = 6.504 Å, c = 6.504 Å
α = 90.00°, β = 90.00°, γ = 90.00°
Space group F-43m (No. 216)
Unique sites:
Th 0.000 0.000 0.000 [4 per cell]
Si 0.250 0.250 0.750 [4 per cell]
Mo 0.000 0.000 0.500 [4 per cell]

# 2
Starting from a DFT-relaxed cell (GGA-PBE, OQMD), the powder XRD pattern of Tc2Sn2Mo was calculated for Cu Kα, 1.54184 Å.
Lines closer than 0.1° are merged.

Most intense lines, 5 to 70 degrees two-theta, sorted by position:
| 2θ (°) | Rel. int. | hkl |
| --- | --- | --- |
| 25.5 | 18 | 1 0 1 |
| 30.9 | 38 | 1 0 3 |
| 35.2 | 8 | 1 1 0 |
| 37.1 | 16 | 0 0 6 |
| 37.4 | 100 | 1 1 2 |
| 39.8 | 71 | 1 0 5 |
| 43.4 | 45 | 1 1 4 |
| 50.2 | 12 | 0 0 8 |
| 50.7 | 53 | 2 0 0 |
| 60.6 | 11 | 2 1 3 |
| 64.4 | 13 | 2 0 6 |
| 66.3 | 32 | 2 1 5 |

Crystal structure
a = 3.603 Å, b = 3.603 Å, c = 14.538 Å
α = 90.00°, β = 90.00°, γ = 90.00°
Space group I4/mmm (No. 139)
Unique sites:
Tc 0.000 0.500 0.250 [4 per cell]
Sn 0.000 0.000 0.101 [4 per cell]
Mo 0.000 0.000 0.500 [2 per cell]

# 3
Starting from a DFT-relaxed cell (GGA-PBE, OQMD), the powder XRD pattern of SnTeMo was calculated for Cu Kα, 1.54184 Å.
Lines closer than 0.1° are merged.

Most intense lines, 5 to 70 degrees two-theta, sorted by position:
| 2θ (°) | Rel. int. | hkl |
| --- | --- | --- |
| 23.0 | 20 | 1 1 1 |
| 26.6 | 23 | 2 0 0 |
| 38.0 | 100 | 2 2 0 |
| 44.9 | 10 | 3 1 1 |
| 47.0 | 7 | 2 2 2 |
| 54.9 | 17 | 4 0 0 |
| 60.3 | 4 | 3 3 1 |
| 62.0 | 9 | 4 2 0 |
| 68.7 | 35 | 4 2 2 |

Crystal structure
a = 6.692 Å, b = 6.692 Å, c = 6.692 Å
α = 90.00°, β = 90.00°, γ = 90.00°
Space group F-43m (No. 216)
Unique sites:
Sn 0.000 0.000 0.000 [4 per cell]
Te 0.000 0.000 0.500 [4 per cell]
Mo 0.250 0.250 0.250 [4 per cell]